No. 1
Calculated PXRD pattern
Compound: NaGa6AgTe10
Radiation: Cu Kα
Structure: DFT lattice parameters and positions (PBE)
No peak broadening, texture or thermal motion is included.

Crystal structure
a = 10.4321 Å, b = 10.4321 Å, c = 10.4614 Å
α = 90.43°, β = 90.43°, γ = 90.28°
Sites, in units of the cell vectors:
Na (0.0000, 0.0000, 0.0000)
Na (0.7400, 0.2600, 0.5000)
Ga (0.0741, 0.3766, 0.3400)
Ga (0.1627, 0.7498, 0.3344)
Ga (0.2502, 0.8373, 0.6656)
Ga (0.3343, 0.1592, 0.7505)
Ga (0.3409, 0.0735, 0.3790)
Ga (0.3798, 0.3395, 0.0752)
Ga (0.6234, 0.9259, 0.6600)
Ga (0.6605, 0.6202, 0.9248)
Ga (0.6680, 0.2466, 0.8396)
Ga (0.7534, 0.3320, 0.1604)
Ga (0.8408, 0.6657, 0.2495)
Ga (0.9265, 0.6591, 0.6210)
Ag (0.1998, 0.4992, 0.8009)
Ag (0.5008, 0.8002, 0.1991)
Te (0.0034, 0.4201, 0.5820)
Te (0.0691, 0.5695, 0.1719)
Te (0.0709, 0.7409, 0.8172)
Te (0.1720, 0.0676, 0.5703)
Te (0.1844, 0.2579, 0.9291)
Te (0.2591, 0.9291, 0.1828)
Te (0.3300, 0.3286, 0.3293)
Te (0.3302, 0.6698, 0.5000)
Te (0.4197, 0.5803, 0.0000)
Te (0.4305, 0.9309, 0.8281)
Te (0.4983, 0.3312, 0.6738)
Te (0.5712, 0.1708, 0.0680)
Te (0.5799, 0.9966, 0.4180)
Te (0.6688, 0.5017, 0.3262)
Te (0.6714, 0.6700, 0.6707)
Te (0.7421, 0.8156, 0.0709)
Te (0.8182, 0.0684, 0.7446)
Te (0.8292, 0.4288, 0.9320)
Te (0.9316, 0.1818, 0.2554)
Te (0.9324, 0.8280, 0.4297)

Peak list (12 most intense, 2θ from 15° to 90°, low angle first)
2θ = 25.52°, I 100
2θ = 25.75°, I 44
2θ = 26.96°, I 17
2θ = 27.06°, I 33
2θ = 28.27°, I 51
2θ = 28.35°, I 27
2θ = 28.47°, I 16
2θ = 32.25°, I 27
2θ = 44.05°, I 34
2θ = 44.19°, I 25
2θ = 46.67°, I 19
2θ = 46.78°, I 26

=====

No. 2
Calculated PXRD pattern
Compound: Nd2GaAg
Radiation: Cu Kα
Structure: DFT lattice parameters and positions (PBE)
No peak broadening, texture or thermal motion is included.

Crystal structure
a = 5.2937 Å, b = 5.2937 Å, c = 5.2937 Å
α = 60.00°, β = 60.00°, γ = 60.00°
Sites, in units of the cell vectors:
Nd (0.2500, 0.2500, 0.2500)
Nd (0.7500, 0.7500, 0.7500)
Ga (0.0000, 0.0000, 0.0000)
Ag (0.5000, 0.5000, 0.5000)

Peak list (12 most intense, 2θ from 15° to 90°, low angle first)
2θ = 20.55°, I 2
2θ = 23.77°, I 6
2θ = 33.87°, I 100
2θ = 39.94°, I 1
2θ = 41.80°, I 2
2θ = 48.65°, I 18
2θ = 54.84°, I 3
2θ = 60.59°, I 36
2θ = 71.26°, I 11
2θ = 76.32°, I 1
2θ = 81.27°, I 16
2θ = 86.17°, I 1

=====

No. 3
Calculated PXRD pattern
Compound: GaAgO2
Radiation: Cu Kα
Structure: DFT lattice parameters and positions (PBE)
No peak broadening, texture or thermal motion is included.

Crystal structure
a = 6.4305 Å, b = 6.4305 Å, c = 6.4305 Å
α = 27.07°, β = 27.07°, γ = 27.07°
Sites, in units of the cell vectors:
Ga (0.0000, 0.0000, 0.0000)
Ag (0.1619, 0.1619, 0.1619)
O (0.2800, 0.2800, 0.2800)
O (0.7252, 0.7252, 0.7252)

Peak list (12 most intense, 2θ from 15° to 90°, low angle first)
2θ = 28.84°, I 61
2θ = 34.76°, I 100
2θ = 35.78°, I 36
2θ = 39.65°, I 24
2θ = 42.36°, I 44
2θ = 48.99°, I 56
2θ = 52.80°, I 16
2θ = 61.63°, I 32
2θ = 65.91°, I 15
2θ = 69.45°, I 29
2θ = 72.74°, I 11
2θ = 82.45°, I 11

=====

No. 4
Calculated PXRD pattern
Compound: GaAgO2
Radiation: Cu Kα
Structure: DFT lattice parameters and positions (PBE)
No peak broadening, texture or thermal motion is included.

Crystal structure
a = 6.5175 Å, b = 6.5175 Å, c = 6.5175 Å
α = 26.95°, β = 26.95°, γ = 26.95°
Sites, in units of the cell vectors:
Ga (0.0000, 0.0000, 0.0000)
Ag (0.5000, 0.5000, 0.5000)
O (0.3870, 0.3870, 0.3870)
O (0.6130, 0.6130, 0.6130)

Peak list (12 most intense, 2θ from 15° to 90°, low angle first)
2θ = 28.44°, I 48
2θ = 34.43°, I 12
2θ = 35.44°, I 100
2θ = 39.24°, I 50
2θ = 52.15°, I 38
2θ = 60.46°, I 23
2θ = 61.02°, I 24
2θ = 68.66°, I 22
2θ = 72.58°, I 11
2θ = 74.98°, I 8
2θ = 84.36°, I 9
2θ = 89.89°, I 11